Diffraction record for UNiP2. The X-ray diffraction stick pattern is computed, not measured: it uses a crystal structure in the Materials Project, relaxed with GGA-PBE and λ = 1.5418 Å (Cu Kα).

Principal peaks in the range 15° ≤ 2θ ≤ 90°, in order of falling intensity:
| d/Å | intensity |
| --- | --- |
| 2.296 | 100 |
| 3.648 | 73 |
| 2.503 | 65 |
| 1.897 | 36 |
| 1.512 | 28 |
| 2.682 | 27 |

Crystal structure
```
data_UNiP2
_chemical_formula_sum 'U3 Ni3 P6'
_cell_length_a 3.791
_cell_length_b 3.796
_cell_length_c 13.326
_cell_angle_alpha 90.00
_cell_angle_beta 90.00
_cell_angle_gamma 90.00
_symmetry_space_group_name_H-M 'P m m 2'
_symmetry_Int_Tables_number 25
loop_
_symmetry_equiv_pos_as_xyz
'x,y,z'
'-x,-y,z'
'-x,y,z'
'x,-y,z'
loop_
_atom_site_label
_atom_site_type_symbol
_atom_site_fract_x
_atom_site_fract_y
_atom_site_fract_z
U1 U 0.000 0.000 0.000
U2 U 0.000 0.000 0.301
U3 U 0.500 0.500 0.633
Ni1 Ni 0.000 0.500 0.817
Ni2 Ni 0.500 0.000 0.469
Ni3 Ni 0.500 0.000 0.819
P1 P 0.000 0.000 0.555
P2 P 0.000 0.000 0.726
P3 P 0.000 0.500 0.150
P4 P 0.500 0.000 0.150
P5 P 0.500 0.500 0.378
P6 P 0.500 0.500 0.920
```